[1]
Starting from a cell relaxed with PBE, the XRD peak list of Ce2Dy4Ge3O2 was calculated for Cu Kα (λ = 1.5418 Å).
Neutral-atom scattering factors, no anomalous dispersion.

a b c (Å): 12.480 12.480 12.480
angles (deg): 158.91 158.91 30.00
Atoms (fractional coordinates):
Ce 0.198 0.198 0.000
Ce 0.802 0.802 0.000
Dy 0.080 0.580 0.500
Dy 0.420 0.920 0.500
Dy 0.580 0.080 0.500
Dy 0.920 0.420 0.500
Ge 0.329 0.329 0.000
Ge 0.500 0.500 0.000
Ge 0.671 0.671 0.000
O 0.094 0.094 0.000
O 0.906 0.906 0.000

Peak list (10 most intense, 2θ from 10° to 80°, by intensity)
2θ/deg, Rel. int.
35.66, 100
28.61, 65
39.45, 61
69.10, 29
29.64, 22
57.02, 20
50.11, 20
32.56, 19
31.42, 18
65.03, 13

---

[2]
Starting from a cell relaxed with PBE, the XRD peak list of Pm7Mg2Rh2 was calculated for Cu Kα (λ = 1.5418 Å).
Neutral-atom scattering factors, no anomalous dispersion.

a b c (Å): 9.866 9.866 9.866
angles (deg): 158.18 71.13 113.27
Atoms (fractional coordinates):
Pm 0.000 0.000 0.000
Pm 0.073 0.714 0.359
Pm 0.338 0.517 0.821
Pm 0.355 0.714 0.641
Pm 0.646 0.306 0.340
Pm 0.696 0.517 0.179
Pm 0.966 0.306 0.660
Mg 0.464 0.964 0.500
Mg 0.690 0.690 0.000
Rh 0.204 0.021 0.183
Rh 0.838 0.021 0.817

Peak list (10 most intense, 2θ from 10° to 80°, by intensity)
2θ/deg, Rel. int.
33.60, 100
29.56, 73
11.02, 47
33.50, 42
29.82, 42
27.62, 42
33.02, 29
40.62, 26
48.76, 21
34.52, 20